TbPu2N4: computed X-ray powder pattern (Cu Kα, 1.54184 Å), based on the GGA-PBE geometry in Alexandria.
No peak broadening, texture or thermal motion is included.

Structure:
abc: 5.8995 5.8995 10.4363
angles: 90.00 90.00 146.63
Fractional coordinates of all 14 atoms:
Tb  0.1072  0.8928  0.7500
Tb  0.8928  0.1072  0.2500
Pu  0.3684  0.6316  0.5705
Pu  0.3684  0.6316  0.9295
Pu  0.6316  0.3684  0.0705
Pu  0.6316  0.3684  0.4295
N  0.0000  0.0000  0.0000
N  0.0000  0.0000  0.5000
N  0.2731  0.7269  0.1076
N  0.2731  0.7269  0.3924
N  0.4635  0.5365  0.7500
N  0.5365  0.4635  0.2500
N  0.7269  0.2731  0.6076
N  0.7269  0.2731  0.8924

The 8 most intense peaks (2θ from 10° to 90°), in order of falling intensity:
- 30.17 deg, I = 100.0
- 32.49 deg, I = 41.5
- 31.67 deg, I = 39.0
- 28.81 deg, I = 34.2
- 55.51 deg, I = 33.1
- 39.73 deg, I = 29.5
- 36.70 deg, I = 28.4
- 63.24 deg, I = 25.7